1.
# Tb3Pr2Pb4
Computed XRD peak list, λ = 1.5418 Å (Cu Kα). Input: DFT lattice parameters and positions (PBE).

Principal peaks in the range 2θ from 10° to 90°, by angle:
| Position (°2θ) | intensity |
| --- | --- |
| 27.80 | 16 |
| 28.57 | 48 |
| 30.08 | 70 |
| 31.22 | 43 |
| 31.71 | 100 |
| 32.26 | 47 |
| 41.09 | 25 |
| 47.02 | 21 |
| 50.30 | 16 |
| 50.74 | 19 |

Atomic structure:
Cell: 9.4481 9.4481 9.0976 Å, 90.00 90.00 135.23°
Positions (direct):
1 Tb 0.0000 0.0000 0.0000
2 Tb 0.0435 0.4565 0.2500
3 Tb 0.4565 0.0435 0.7500
4 Tb 0.5000 0.5000 0.5000
5 Tb 0.5435 0.9565 0.2500
6 Tb 0.9565 0.5435 0.7500
7 Pr 0.1112 0.8888 0.4110
8 Pr 0.3888 0.6112 0.9110
9 Pr 0.6112 0.3888 0.0890
10 Pr 0.8888 0.1112 0.5890
11 Pb 0.1857 0.8143 0.0553
12 Pb 0.2189 0.2811 0.2500
13 Pb 0.2811 0.2189 0.7500
14 Pb 0.3143 0.6857 0.5553
15 Pb 0.6857 0.3143 0.4447
16 Pb 0.7189 0.7811 0.2500
17 Pb 0.7811 0.7189 0.7500
18 Pb 0.8143 0.1857 0.9447



2.
# Pr6Te4Pb
Computed XRD peak list, λ = 1.5418 Å (Cu Kα). Input: DFT lattice parameters and positions (PBE).

Principal peaks in the range 2θ from 10° to 90°, by angle:
| Position (°2θ) | intensity |
| --- | --- |
| 26.49 | 53 |
| 27.31 | 61 |
| 28.15 | 100 |
| 29.52 | 32 |
| 34.58 | 27 |
| 37.91 | 35 |
| 40.10 | 66 |
| 40.42 | 38 |
| 48.65 | 29 |
| 58.22 | 26 |

Atomic structure:
Cell: 7.6174 7.6174 22.7640 Å, 90.00 90.00 145.63°
Positions (direct):
1 Pr 0.0000 0.0000 0.0000
2 Pr 0.0000 0.0000 0.5000
3 Pr 0.1697 0.8303 0.7500
4 Pr 0.2691 0.7309 0.1011
5 Pr 0.2691 0.7309 0.3989
6 Pr 0.4400 0.5600 0.6668
7 Pr 0.4400 0.5600 0.8332
8 Pr 0.5600 0.4400 0.1668
9 Pr 0.5600 0.4400 0.3332
10 Pr 0.7309 0.2691 0.6011
11 Pr 0.7309 0.2691 0.8989
12 Pr 0.8303 0.1697 0.2500
13 Te 0.0816 0.9184 0.6266
14 Te 0.0816 0.9184 0.8734
15 Te 0.3542 0.6458 0.5363
16 Te 0.3542 0.6458 0.9637
17 Te 0.6458 0.3542 0.0363
18 Te 0.6458 0.3542 0.4637
19 Te 0.9184 0.0816 0.1266
20 Te 0.9184 0.0816 0.3734
21 Pb 0.1708 0.8292 0.2500
22 Pb 0.8292 0.1708 0.7500



3.
# Pr4Te5Pb
Computed XRD peak list, λ = 1.5418 Å (Cu Kα). Input: DFT lattice parameters and positions (PBE).

Principal peaks in the range 2θ from 10° to 90°, by angle:
| Position (°2θ) | intensity |
| --- | --- |
| 27.64 | 100 |
| 39.49 | 76 |
| 48.78 | 6 |
| 48.92 | 21 |
| 57.08 | 12 |
| 64.52 | 16 |
| 64.64 | 18 |
| 71.50 | 5 |
| 71.68 | 19 |
| 85.12 | 5 |

Atomic structure:
Cell: 18.8518 18.8518 18.8518 Å, 13.89 13.89 13.89°
Positions (direct):
1 Pr 0.0959 0.0959 0.0959
2 Pr 0.2993 0.2993 0.2993
3 Pr 0.7007 0.7007 0.7007
4 Pr 0.9041 0.9041 0.9041
5 Te 0.0000 0.0000 0.0000
6 Te 0.2014 0.2014 0.2014
7 Te 0.3986 0.3986 0.3986
8 Te 0.6014 0.6014 0.6014
9 Te 0.7986 0.7986 0.7986
10 Pb 0.5000 0.5000 0.5000



4.
# Pr6Te8Pb
Computed XRD peak list, λ = 1.5418 Å (Cu Kα). Input: DFT lattice parameters and positions (PBE).

Principal peaks in the range 2θ from 10° to 90°, by angle:
| Position (°2θ) | intensity |
| --- | --- |
| 11.96 | 7 |
| 23.02 | 7 |
| 27.85 | 100 |
| 30.40 | 4 |
| 39.79 | 77 |
| 49.26 | 28 |
| 57.54 | 13 |
| 65.11 | 35 |
| 72.23 | 26 |
| 85.78 | 8 |

Atomic structure:
Cell: 9.0615 9.0615 9.0615 Å, 60.00 60.00 60.00°
Positions (direct):
1 Pr 0.0000 0.0000 0.5000
2 Pr 0.0000 0.5000 0.0000
3 Pr 0.0000 0.5000 0.5000
4 Pr 0.5000 0.0000 0.0000
5 Pr 0.5000 0.0000 0.5000
6 Pr 0.5000 0.5000 0.0000
7 Te 0.2450 0.2450 0.7550
8 Te 0.2450 0.7550 0.2450
9 Te 0.2450 0.7550 0.7550
10 Te 0.2500 0.2500 0.2500
11 Te 0.7500 0.7500 0.7500
12 Te 0.7550 0.2450 0.2450
13 Te 0.7550 0.2450 0.7550
14 Te 0.7550 0.7550 0.2450
15 Pb 0.5000 0.5000 0.5000



5.
# Pr2ThPb
Computed XRD peak list, λ = 1.5418 Å (Cu Kα). Input: DFT lattice parameters and positions (PBE).

Principal peaks in the range 2θ from 10° to 90°, by angle:
| Position (°2θ) | intensity |
| --- | --- |
| 30.53 | 61 |
| 32.46 | 100 |
| 43.72 | 23 |
| 49.26 | 8 |
| 55.50 | 45 |
| 59.08 | 16 |
| 67.96 | 11 |
| 72.15 | 13 |
| 73.19 | 10 |
| 89.32 | 12 |

Atomic structure:
Cell: 4.1405 4.1405 7.3977 Å, 90.00 90.00 90.00°
Positions (direct):
1 Pr 0.0000 0.0000 0.2242
2 Pr 0.0000 0.0000 0.7758
3 Th 0.5000 0.5000 0.5000
4 Pb 0.5000 0.5000 0.0000



6.
# Pr2TlPb8
Computed XRD peak list, λ = 1.5418 Å (Cu Kα). Input: DFT lattice parameters and positions (PBE).

Principal peaks in the range 2θ from 10° to 90°, by angle:
| Position (°2θ) | intensity |
| --- | --- |
| 21.79 | 6 |
| 31.55 | 100 |
| 34.80 | 19 |
| 37.47 | 32 |
| 52.06 | 24 |
| 54.03 | 11 |
| 60.37 | 14 |
| 63.93 | 27 |
| 65.89 | 12 |
| 85.30 | 12 |

Atomic structure:
Cell: 4.8007 4.8007 15.4684 Å, 90.00 90.00 90.00°
Positions (direct):
1 Pr 0.0000 0.0000 0.1569
2 Pr 0.0000 0.0000 0.8431
3 Tl 0.0000 0.0000 0.5000
4 Pb 0.0000 0.5000 0.0000
5 Pb 0.0000 0.5000 0.3365
6 Pb 0.0000 0.5000 0.6635
7 Pb 0.5000 0.0000 0.0000
8 Pb 0.5000 0.0000 0.3365
9 Pb 0.5000 0.0000 0.6635
10 Pb 0.5000 0.5000 0.1780
11 Pb 0.5000 0.5000 0.8220



7.
# Pr2Tl3Pb
Computed XRD peak list, λ = 1.5418 Å (Cu Kα). Input: DFT lattice parameters and positions (PBE).

Principal peaks in the range 2θ from 10° to 90°, by angle:
| Position (°2θ) | intensity |
| --- | --- |
| 24.43 | 17 |
| 31.27 | 100 |
| 33.51 | 35 |
| 33.64 | 69 |
| 42.02 | 17 |
| 46.51 | 22 |
| 58.69 | 23 |
| 60.00 | 13 |
| 61.66 | 37 |
| 82.06 | 12 |

Atomic structure:
Cell: 3.6431 5.3481 9.2171 Å, 90.00 90.00 90.00°
Positions (direct):
1 Pr 0.0000 0.0000 0.0000
2 Pr 0.0000 0.5000 0.4999
3 Tl 0.5000 0.0000 0.3320
4 Tl 0.5000 0.0000 0.6628
5 Tl 0.5000 0.5000 0.1712
6 Pb 0.5000 0.5000 0.8353



8.
# Pr7TlPb4
Computed XRD peak list, λ = 1.5418 Å (Cu Kα). Input: DFT lattice parameters and positions (PBE).

Principal peaks in the range 2θ from 10° to 90°, by angle:
| Position (°2θ) | intensity |
| --- | --- |
| 21.30 | 24 |
| 28.15 | 97 |
| 29.39 | 100 |
| 31.38 | 95 |
| 32.64 | 33 |
| 41.15 | 71 |
| 42.56 | 33 |
| 42.76 | 35 |
| 53.40 | 25 |
| 68.45 | 26 |

Atomic structure:
Cell: 8.5549 8.5549 10.0270 Å, 121.49 121.49 41.61°
Positions (direct):
1 Pr 0.0000 0.0000 0.0000
2 Pr 0.1858 0.1858 0.5781
3 Pr 0.3175 0.3175 0.0604
4 Pr 0.4514 0.4514 0.6409
5 Pr 0.5486 0.5486 0.3591
6 Pr 0.6825 0.6825 0.9396
7 Pr 0.8142 0.8142 0.4219
8 Tl 0.5000 0.5000 0.0000
9 Pb 0.0695 0.0695 0.7557
10 Pb 0.2334 0.2334 0.2949
11 Pb 0.7666 0.7666 0.7051
12 Pb 0.9305 0.9305 0.2443



9.
# Pr4Tm4Pb7
Computed XRD peak list, λ = 1.5418 Å (Cu Kα). Input: DFT lattice parameters and positions (PBE).

Principal peaks in the range 2θ from 10° to 90°, by angle:
| Position (°2θ) | intensity |
| --- | --- |
| 30.13 | 100 |
| 30.76 | 17 |
| 31.23 | 65 |
| 32.67 | 26 |
| 34.03 | 15 |
| 34.92 | 20 |
| 35.79 | 20 |
| 41.83 | 19 |
| 48.48 | 27 |
| 62.64 | 17 |

Atomic structure:
Cell: 12.1239 12.1239 12.1239 Å, 94.59 94.59 147.12°
Positions (direct):
1 Pr 0.0000 0.1881 0.1881
2 Pr 0.0000 0.8119 0.8119
3 Pr 0.1881 0.0000 0.1881
4 Pr 0.3684 0.3684 0.7367
5 Pr 0.3684 0.6316 0.0000
6 Pr 0.6316 0.3684 0.0000
7 Pr 0.6316 0.6316 0.2633
8 Pr 0.8119 0.0000 0.8119
9 Tm 0.1001 0.6001 0.2003
10 Tm 0.1001 0.8999 0.5000
11 Tm 0.3999 0.6001 0.5000
12 Tm 0.3999 0.8999 0.7997
13 Tm 0.6001 0.1001 0.2003
14 Tm 0.6001 0.3999 0.5000
15 Tm 0.8999 0.1001 0.5000
16 Tm 0.8999 0.3999 0.7997
17 Pb 0.0000 0.4041 0.4041
18 Pb 0.0000 0.5959 0.5959
19 Pb 0.1979 0.1979 0.3958
20 Pb 0.1979 0.8021 0.0000
21 Pb 0.2250 0.5000 0.7250
22 Pb 0.2474 0.2474 0.0000
23 Pb 0.4041 0.0000 0.4041
24 Pb 0.5000 0.2250 0.7250
25 Pb 0.5000 0.7750 0.2750
26 Pb 0.5959 0.0000 0.5959
27 Pb 0.7526 0.7526 0.0000
28 Pb 0.7750 0.5000 0.2750
29 Pb 0.8021 0.1979 0.0000
30 Pb 0.8021 0.8021 0.6042



10.
# Pr4TmPb5
Computed XRD peak list, λ = 1.5418 Å (Cu Kα). Input: DFT lattice parameters and positions (PBE).

Principal peaks in the range 2θ from 10° to 90°, by angle:
| Position (°2θ) | intensity |
| --- | --- |
| 31.47 | 100 |
| 35.23 | 38 |
| 38.95 | 13 |
| 50.67 | 14 |
| 53.51 | 22 |
| 60.88 | 31 |
| 65.70 | 12 |
| 65.90 | 11 |
| 83.09 | 7 |
| 87.59 | 11 |

Atomic structure:
Cell: 3.6030 3.6030 23.1259 Å, 90.00 90.00 90.00°
Positions (direct):
1 Pr 0.0000 0.0000 0.1016
2 Pr 0.0000 0.0000 0.3041
3 Pr 0.0000 0.0000 0.6959
4 Pr 0.0000 0.0000 0.8984
5 Tm 0.0000 0.0000 0.5000
6 Pb 0.5000 0.5000 0.0000
7 Pb 0.5000 0.5000 0.2030
8 Pb 0.5000 0.5000 0.4070
9 Pb 0.5000 0.5000 0.5930
10 Pb 0.5000 0.5000 0.7970



11.
# Pr2Tm3Pb4
Computed XRD peak list, λ = 1.5418 Å (Cu Kα). Input: DFT lattice parameters and positions (PBE).

Principal peaks in the range 2θ from 10° to 90°, by angle:
| Position (°2θ) | intensity |
| --- | --- |
| 28.10 | 37 |
| 28.55 | 26 |
| 30.23 | 97 |
| 30.62 | 42 |
| 31.07 | 24 |
| 31.19 | 25 |
| 31.45 | 81 |
| 34.11 | 45 |
| 34.28 | 28 |
| 34.58 | 100 |

Atomic structure:
Cell: 8.4286 8.4009 8.1903 Å, 90.00 111.40 90.00°
Positions (direct):
1 Pr 0.1927 0.1788 0.0572
2 Pr 0.1927 0.3212 0.5572
3 Pr 0.8073 0.6788 0.4428
4 Pr 0.8073 0.8212 0.9428
5 Tm 0.2460 0.6577 0.2398
6 Tm 0.2460 0.8423 0.7398
7 Tm 0.5000 0.0000 0.5000
8 Tm 0.5000 0.5000 0.0000
9 Tm 0.7540 0.1577 0.2602
10 Tm 0.7540 0.3423 0.7602
11 Pb 0.0867 0.5436 0.8347
12 Pb 0.0867 0.9564 0.3347
13 Pb 0.4945 0.1408 0.8592
14 Pb 0.4945 0.3592 0.3592
15 Pb 0.5055 0.6408 0.6408
16 Pb 0.5055 0.8592 0.1408
17 Pb 0.9133 0.0436 0.6653
18 Pb 0.9133 0.4564 0.1653



12.
# Pr2TmPb3
Computed XRD peak list, λ = 1.5418 Å (Cu Kα). Input: DFT lattice parameters and positions (PBE).

Principal peaks in the range 2θ from 10° to 90°, by angle:
| Position (°2θ) | intensity |
| --- | --- |
| 31.63 | 100 |
| 35.06 | 19 |
| 35.61 | 18 |
| 39.27 | 14 |
| 50.84 | 14 |
| 53.66 | 11 |
| 60.76 | 16 |
| 61.48 | 15 |
| 66.07 | 12 |
| 66.44 | 12 |

Atomic structure:
Cell: 8.0809 8.0809 9.1760 Å, 90.00 90.00 143.64°
Positions (direct):
1 Pr 0.0000 0.0000 0.0000
2 Pr 0.0000 0.0000 0.5000
3 Pr 0.3331 0.6669 0.0000
4 Pr 0.6669 0.3331 0.0000
5 Tm 0.3309 0.6691 0.5000
6 Tm 0.6691 0.3309 0.5000
7 Pb 0.1689 0.8311 0.2578
8 Pb 0.1689 0.8311 0.7422
9 Pb 0.5000 0.5000 0.2564
10 Pb 0.5000 0.5000 0.7436
11 Pb 0.8311 0.1689 0.2578
12 Pb 0.8311 0.1689 0.7422